Entry 1:
Starting from a GGA-PBE-relaxed structure, the XRD peak list of Tb5Sm3Tm4 was calculated for Cu Kα.

Largest 8 diffraction maxima, in order of rising 2θ, 2θ = 5–70°:
(2 0 1), 2θ = 30.8°, I 100; (1 2 2), 2θ = 35.8°, I 51; (2 0 4), 2θ = 51.5°, I 24; (3 2 0), 2θ = 51.5°, I 12; (4 0 -1), 2θ = 61.2°, I 21; (3 2 3), 2θ = 61.3°, I 21; (-2 4 2), 2θ = 64.2°, I 3; (4 0 2), 2θ = 64.3°, I 9

Atomic structure:
Cell lengths 6.150, 7.104, 8.688 Å; angles 90.07, 90.01, 90.12 degrees
Space group P-1 (No. 2)
Inequivalent atoms, fractional coordinates:
Tb (0.000, 0.000, 0.000)
Tb (0.334, 0.500, 0.334)
Tb (0.499, 0.752, 0.000)
Sm (0.000, 0.500, 0.000)
Sm (0.166, 0.249, 0.666)
Tm (0.168, 0.751, 0.666)
Tm (0.334, 0.000, 0.334)

Entry 2:
Starting from a GGA-PBE-relaxed structure, the XRD peak list of Sc4ZnPdO was calculated for Cu Kα.

Largest 10 diffraction maxima, in order of rising 2θ, 2θ = 5–70°:
(1 1 1), 2θ = 21.6°, I 25; (2 0 0), 2θ = 29.4°, I 59; (2 2 0), 2θ = 32.1°, I 50; (1 5 1), 2θ = 38.6°, I 45; (0 6 0), 2θ = 38.9°, I 19; (2 4 0), 2θ = 39.4°, I 100; (2 0 2), 2θ = 42.0°, I 78; (3 5 1), 2θ = 58.3°, I 25; (2 6 2), 2θ = 58.6°, I 21; (4 0 0), 2θ = 60.9°, I 24

Atomic structure:
Cell lengths 6.085, 13.888, 6.085 Å; angles 90.00, 90.00, 90.00 degrees
Space group Cmcm (No. 63)
Inequivalent atoms, fractional coordinates:
Sc (0.000, 0.069, 0.250)
Sc (0.000, 0.424, 0.250)
Sc (0.250, 0.250, 0.000)
Zn (0.000, 0.381, 0.750)
Pd (0.000, 0.117, 0.750)
O (0.000, 0.252, 0.250)

Entry 3:
Starting from a GGA-PBE-relaxed structure, the XRD peak list of Dy2HoTm2Mg was calculated for Cu Kα.

Largest 10 diffraction maxima, in order of rising 2θ, 2θ = 5–70°:
(1 1 0), 2θ = 11.6°, I 72; (1 2 0), 2θ = 17.5°, I 38; (2 1 0), 2θ = 19.1°, I 64; (1 2 1), 2θ = 30.6°, I 100; (2 1 1), 2θ = 31.5°, I 94; (1 4 0), 2θ = 31.9°, I 40; (1 3 1), 2θ = 35.1°, I 81; (3 1 1), 2θ = 37.4°, I 56; (4 2 0), 2θ = 38.8°, I 47; (0 7 1), 2θ = 61.3°, I 34

Atomic structure:
Cell lengths 10.129, 11.667, 3.592 Å; angles 90.00, 90.00, 90.00 degrees
Space group Pnnm (No. 58)
Inequivalent atoms, fractional coordinates:
Dy (0.097, 0.222, 0.000)
Ho (0.000, 0.000, 0.500)
Tm (0.250, 0.427, 0.500)
Mg (0.000, 0.500, 0.000)

Entry 4:
Starting from a GGA-PBE-relaxed structure, the XRD peak list of SnH3SBr3 was calculated for Cu Kα.

Largest 10 diffraction maxima, in order of rising 2θ, 2θ = 5–70°:
(0 1 0), 2θ = 11.4°, I 100; (0 0 2), 2θ = 15.4°, I 52; (1 -1 0), 2θ = 25.7°, I 89; (1 2 0), 2θ = 25.9°, I 61; (0 1 -3), 2θ = 26.1°, I 38; (-1 1 1), 2θ = 26.9°, I 57; (1 2 2), 2θ = 30.0°, I 33; (0 0 4), 2θ = 31.0°, I 37; (1 3 2), 2θ = 38.0°, I 38; (2 1 0), 2θ = 38.8°, I 40

Atomic structure:
Cell lengths 4.639, 8.098, 11.523 Å; angles 88.80, 89.44, 73.74 degrees
Space group P1 (No. 1)
Inequivalent atoms, fractional coordinates:
Sn (0.000, 0.000, 0.000)
Sn (0.011, 0.978, 0.485)
H (0.079, 0.351, 0.759)
H (0.237, 0.414, 0.905)
H (0.500, 0.356, 0.766)
H (0.544, 0.410, 0.313)
H (0.647, 0.616, 0.376)
H (0.968, 0.409, 0.321)
S (0.224, 0.476, 0.788)
S (0.707, 0.520, 0.273)
Br (0.047, 0.859, 0.262)
Br (0.284, 0.263, 0.059)
Br (0.332, 0.238, 0.434)
Br (0.544, 0.769, 0.946)
Br (0.577, 0.738, 0.543)
Br (0.903, 0.127, 0.757)